Computed powder diffraction line list of SmMnSe2ClO6 for a wavelength of 1.5418 Å, from DFT lattice parameters and positions (GGA+U).
Lines closer than 0.1° are merged.

Atomic structure:
abc: 7.0898 7.3792 8.1723
angles: 86.73 71.76 64.41
Space group P-1 (No. 2)
Symmetry-distinct sites (fractional):
1 Sm 0.1792 0.1700 0.4678 (multiplicity 2)
2 Mn 0.1968 0.0973 0.9791 (multiplicity 2)
3 Se 0.1755 0.5255 0.1835 (multiplicity 2)
4 Se 0.2976 0.7416 0.6819 (multiplicity 2)
5 Cl 0.4329 0.8570 0.1668 (multiplicity 2)
6 O 0.0875 0.2755 0.7746 (multiplicity 2)
7 O 0.0935 0.8953 0.5967 (multiplicity 2)
8 O 0.1224 0.3154 0.1881 (multiplicity 2)
9 O 0.1727 0.8316 0.8985 (multiplicity 2)
10 O 0.1824 0.5242 0.3933 (multiplicity 2)
11 O 0.4503 0.8779 0.6120 (multiplicity 2)

Largest 10 diffraction maxima, sorted by position, 10° ≤ 2θ ≤ 90°:
11.45°, I 52, hkl 0 0 1
14.62°, I 43, hkl 1 0 0
18.41°, I 36, hkl 0 1 1
25.38°, I 79, hkl 2 1 1
26.48°, I 35, hkl 2 1 0
27.76°, I 90, hkl 0 1 2
27.95°, I 65, hkl 1 2 -1
28.82°, I 100, hkl 1 -1 2
29.49°, I 37, hkl 2 0 0
44.41°, I 38, hkl 1 0 4